The following is a theoretical powder XRD pattern of AcMn3Cr4O12. It was derived from a structure optimized by DFT (PBE+U), using Cu Kα (λ = 1.5418 Å).
No peak broadening, texture or thermal motion is included.

Principal peaks in the range 10 to 80 degrees two-theta, sorted by position:
2theta	I (rel.)	hkl
16.6	43	1 1 0
23.5	9	2 0 0
28.9	21	2 1 1
33.5	100	2 2 0
37.6	21	3 1 0
44.8	24	3 2 1
48.1	25	4 0 0
59.9	47	4 2 2
62.6	10	4 1 3
70.4	12	4 4 0

Crystal structure
```
data_AcMn3Cr4O12
_chemical_formula_sum 'Ac2 Mn6 Cr8 O24'
_cell_length_a 7.5688
_cell_length_b 7.5688
_cell_length_c 7.5688
_cell_angle_alpha 90.00
_cell_angle_beta 90.00
_cell_angle_gamma 90.00
_space_group_name_H-M_alt 'I m -3'
_space_group_IT_number 204
_space_group_name_Hall '-I 2 2 3'
loop_
_atom_site_label
_atom_site_fract_x
_atom_site_fract_y
_atom_site_fract_z
Ac1 0.0000 0.0000 0.0000
Mn1 0.0000 0.0000 0.5000
Cr1 0.2500 0.2500 0.2500
O1 0.0000 0.1773 0.3108
```